For Zn5Ag3, a GGA-PBE-relaxed structure gives the theoretical powder diffraction line list in this record (λ = 1.5418 Å (Cu Kα)).
Neutral-atom scattering factors, no anomalous dispersion.

Top 10 peaks for 2θ from 10° to 90°, in order of falling intensity:
- 2.228 Å, 2θ 40.49, I 100
- 2.262 Å, 2θ 39.85, I 88
- 2.205 Å, 2θ 40.92, I 84
- 2.240 Å, 2θ 40.25, I 63
- 2.308 Å, 2θ 39.02, I 57
- 2.434 Å, 2θ 36.93, I 47
- 2.090 Å, 2θ 43.29, I 31
- 2.271 Å, 2θ 39.69, I 29
- 2.058 Å, 2θ 44.01, I 23
- 2.532 Å, 2θ 35.45, I 22

Cell and atoms:
```
Zn5Ag3
1.0
2.5319 -7.0630 0.0000
2.5319 7.0630 0.0000
-2.4790 0.0000 7.3276
Zn Ag
10 6
Cartesian
0.0000 0.0000 0.0000
1.2680 2.3901 1.5320
1.3038 4.6974 6.1100
2.5139 0.0000 0.2986
1.2680 -2.3901 1.5320
1.6263 1.3556 4.9857
1.6263 -1.3556 4.9857
3.4898 1.3595 2.6232
3.4898 -1.3595 2.6232
1.3038 -4.6974 6.1100
0.0161 3.1245 3.8231
-0.9333 0.0000 4.8999
0.9836 0.0000 2.7095
0.0161 -3.1245 3.8231
3.7893 2.4349 0.1381
3.7893 -2.4349 0.1381
```

=====

For Zn3Ag2, a GGA-PBE-relaxed structure gives the theoretical powder diffraction line list in this record (λ = 1.5418 Å (Cu Kα)).
Neutral-atom scattering factors, no anomalous dispersion.

Top 10 peaks for 2θ from 10° to 90°, in order of falling intensity:
- 2.298 Å, 2θ 39.21, I 100
- 2.077 Å, 2θ 43.57, I 37
- 1.238 Å, 2θ 77.06, I 25
- 1.379 Å, 2θ 67.97, I 18
- 1.844 Å, 2θ 49.42, I 12
- 1.469 Å, 2θ 63.32, I 11
- 1.149 Å, 2θ 84.29, I 10
- 1.134 Å, 2θ 85.65, I 9
- 2.901 Å, 2θ 30.82, I 5
- 4.610 Å, 2θ 19.25, I 3

Cell and atoms:
```
Zn3Ag2
1.0
-1.4688 1.4688 9.2210
1.4688 -1.4688 9.2210
1.4688 1.4688 -9.2210
Zn Ag
3 2
Cartesian
0.0000 0.0000 0.0000
0.0000 0.0000 3.7669
0.0000 0.0000 14.6750
0.0000 0.0000 7.3422
0.0000 0.0000 11.0997
```

=====

For Zr5Zn4Ag, a GGA-PBE-relaxed structure gives the theoretical powder diffraction line list in this record (λ = 1.5418 Å (Cu Kα)).
Neutral-atom scattering factors, no anomalous dispersion.

Top 10 peaks for 2θ from 10° to 90°, in order of falling intensity:
- 2.394 Å, 2θ 37.58, I 100
- 2.345 Å, 2θ 38.39, I 48
- 1.363 Å, 2θ 68.90, I 31
- 1.658 Å, 2θ 55.42, I 16
- 1.392 Å, 2θ 67.27, I 15
- 1.197 Å, 2θ 80.20, I 9
- 1.730 Å, 2θ 52.94, I 8
- 1.172 Å, 2θ 82.24, I 5
- 2.631 Å, 2θ 34.08, I 2
- 2.877 Å, 2θ 31.09, I 1

Cell and atoms:
```
Zr5Zn4Ag
1.0
3.3157 0.0000 0.0000
0.0000 3.3157 0.0000
0.0000 0.0000 17.2950
Zr Zn Ag
5 4 1
Cartesian
0.0000 0.0000 0.0000
0.0000 0.0000 3.3724
0.0000 0.0000 6.7640
0.0000 0.0000 10.5310
0.0000 0.0000 13.9226
1.6579 1.6579 1.6876
1.6579 1.6579 5.0887
1.6579 1.6579 12.2063
1.6579 1.6579 15.6075
1.6579 1.6579 8.6475
```